Simulated X-ray powder pattern of CsHg5Te4 for a wavelength of 1.5418 Å, from a PBE-relaxed structure.
Intensities are scaled so that the largest is 100.

Cell and atoms:
```
data_CsHg5Te4
_cell_length_a 4.762
_cell_length_b 8.873
_cell_length_c 10.438
_cell_angle_alpha 109.99
_cell_angle_beta 102.67
_cell_angle_gamma 96.56
_symmetry_space_group_name_H-M 'P -1'
_symmetry_Int_Tables_number 2
loop_
_symmetry_equiv_pos_as_xyz
'x,y,z'
'-x,-y,-z'
loop_
_atom_site_label
_atom_site_fract_x
_atom_site_fract_y
_atom_site_fract_z
Cs1 0.000 0.000 0.000
Hg1 0.200 0.444 0.916
Hg2 0.268 0.929 0.630
Hg3 0.500 0.500 0.500
Te1 0.150 0.864 0.321
Te2 0.305 0.664 0.722
```

The 12 most intense peaks (2θ from 15° to 90°), by angle:
(hkl)	two_theta	I/Imax
0 1 -2	17.82	42
0 2 0	21.81	93
1 1 -1	22.32	36
0 2 -2	22.80	65
1 0 1	23.97	84
1 1 0	24.28	63
0 1 -3	26.21	43
-1 1 2	26.90	100
0 3 -2	31.13	37
1 -3 1	34.10	42
-2 1 1	38.36	51
1 3 -1	38.81	37